# LiMg4Tl4
Computed XRD peak list, CuKα. Input: DFT lattice parameters and positions (PBE).
Kinematic intensities with the Lorentz-polarization factor, no thermal factor.

Atomic structure:
Cell: 9.7069 9.7069 4.6561 Å, 90.00 90.00 90.00°
Space group I4/mmm (No. 139)
Asymmetric unit:
Li 0.0000 0.0000 0.0000 (multiplicity 2)
Mg 0.1656 0.1656 0.5000 (multiplicity 8)
Tl 0.0000 0.3134 0.0000 (multiplicity 8)

Peak list (10 most intense, 15 to 90 degrees two-theta, in order of falling intensity)
(hkl), 2θ/deg, I/Imax
3 0 1, 33.73, 100.0
2 1 1, 28.10, 67.0
2 2 0, 25.96, 35.0
3 3 0, 39.38, 30.9
5 2 1, 54.60, 29.4
3 3 2, 56.38, 21.9
6 3 1, 67.82, 20.7
0 0 2, 38.68, 18.8
1 0 1, 21.16, 15.7
2 2 2, 47.17, 14.4